(1)
This entry pairs a crystal structure of La4HgPd2 with its simulated XRD peak list. Radiation: copper Kα. Structure: a GGA-PBE-relaxed structure.
No peak broadening, texture or thermal motion is included.

Atomic structure:
```
data_La4HgPd2
_chemical_formula_sum 'La12 Hg3 Pd6'
_space_group_name_H-M_alt 'R -3 m'
_space_group_IT_number 166
_space_group_name_Hall '-R 3 2"'
_cell_length_a 4.9975
_cell_length_b 4.9975
_cell_length_c 29.6737
_cell_angle_alpha 90.00
_cell_angle_beta 90.00
_cell_angle_gamma 120.00
loop_
_atom_site_label
_atom_site_type_symbol
_atom_site_fract_x
_atom_site_fract_y
_atom_site_fract_z
La1 La 0.0000 0.0000 0.1176
La2 La 0.0000 0.0000 0.2952
Hg1 Hg 0.0000 0.0000 0.5000
Pd1 Pd 0.0000 0.0000 0.3994
```

The 6 most intense peaks (10 to 90 degrees two-theta), low angle first:
20.74°, intensity 27, (1 0 1)
25.47°, intensity 62, (0 1 5)
35.94°, intensity 100, (1 1 0)
36.72°, intensity 65, (1 0 10)
52.33°, intensity 24, (0 2 10)
65.11°, intensity 24, (2 1 10)

---

(2)
This entry pairs a crystal structure of Sr2Zn3Au6 with its simulated XRD peak list. Radiation: copper Kα. Structure: a GGA-PBE-relaxed structure.
No peak broadening, texture or thermal motion is included.

Atomic structure:
```
data_Sr2Zn3Au6
_chemical_formula_sum 'Sr12 Zn18 Au36'
_space_group_name_H-M_alt 'R -3 c'
_space_group_IT_number 167
_space_group_name_Hall '-R 3 2"c'
_cell_length_a 8.5474
_cell_length_b 8.5474
_cell_length_c 22.1432
_cell_angle_alpha 90.00
_cell_angle_beta 90.00
_cell_angle_gamma 120.00
loop_
_atom_site_label
_atom_site_type_symbol
_atom_site_fract_x
_atom_site_fract_y
_atom_site_fract_z
Sr1 Sr 0.0000 0.0000 0.0922
Zn1 Zn 0.0000 0.1879 0.2500
Au1 Au 0.0130 0.3696 0.3492
```

The 6 most intense peaks (10 to 90 degrees two-theta), low angle first:
20.78°, intensity 44, (1 1 0)
24.09°, intensity 42, (0 0 6)
32.04°, intensity 85, (1 1 6)
36.41°, intensity 100, (3 0 0)
42.38°, intensity 79, (1 1 9)
44.14°, intensity 66, (0 3 6)

---

(3)
This entry pairs a crystal structure of SrAlBO4 with its simulated XRD peak list. Radiation: copper Kα. Structure: a GGA-PBE-relaxed structure.
No peak broadening, texture or thermal motion is included.

Atomic structure:
```
data_SrAlBO4
_chemical_formula_sum 'Sr4 Al4 B4 O16'
_space_group_name_H-M_alt 'F -4 3 m'
_space_group_IT_number 216
_space_group_name_Hall 'F -4 2 3'
_cell_length_a 7.3410
_cell_length_b 7.3410
_cell_length_c 7.3410
_cell_angle_alpha 90.00
_cell_angle_beta 90.00
_cell_angle_gamma 90.00
loop_
_atom_site_label
_atom_site_type_symbol
_atom_site_fract_x
_atom_site_fract_y
_atom_site_fract_z
Sr1 Sr 0.0000 0.0000 0.0000
Al1 Al 0.2500 0.2500 0.7500
B1 B 0.0000 0.0000 0.5000
O1 O 0.1155 0.1155 0.6155
```

The 6 most intense peaks (10 to 90 degrees two-theta), low angle first:
20.96°, intensity 73, (1 1 1)
24.25°, intensity 50, (2 0 0)
34.56°, intensity 100, (2 2 0)
40.77°, intensity 83, (3 1 1)
61.92°, intensity 34, (4 2 2)
66.14°, intensity 28, (5 1 1)

---

Repeat the third record exactly.
This entry pairs a crystal structure of SrAlBO4 with its simulated XRD peak list. Radiation: copper Kα. Structure: a GGA-PBE-relaxed structure.
No peak broadening, texture or thermal motion is included.

Atomic structure:
```
data_SrAlBO4
_chemical_formula_sum 'Sr4 Al4 B4 O16'
_space_group_name_H-M_alt 'F -4 3 m'
_space_group_IT_number 216
_space_group_name_Hall 'F -4 2 3'
_cell_length_a 7.3410
_cell_length_b 7.3410
_cell_length_c 7.3410
_cell_angle_alpha 90.00
_cell_angle_beta 90.00
_cell_angle_gamma 90.00
loop_
_atom_site_label
_atom_site_type_symbol
_atom_site_fract_x
_atom_site_fract_y
_atom_site_fract_z
Sr1 Sr 0.0000 0.0000 0.0000
Al1 Al 0.2500 0.2500 0.7500
B1 B 0.0000 0.0000 0.5000
O1 O 0.1155 0.1155 0.6155
```

The 6 most intense peaks (10 to 90 degrees two-theta), low angle first:
20.96°, intensity 73, (1 1 1)
24.25°, intensity 50, (2 0 0)
34.56°, intensity 100, (2 2 0)
40.77°, intensity 83, (3 1 1)
61.92°, intensity 34, (4 2 2)
66.14°, intensity 28, (5 1 1)